Entry 1:
For Sr3Hg2Au, DFT lattice parameters and positions (GGA-PBE) gives the calculated X-ray diffraction stick pattern in this record (λ = 1.5418 Å (Cu Kα)).
Intensities are scaled so that the largest is 100.

Cell and atoms:
```
data_Sr3Hg2Au
_chemical_formula_sum 'Sr12 Hg8 Au4'
_cell_length_a 5.5960
_cell_length_b 16.8530
_cell_length_c 7.8490
_cell_angle_alpha 90.00
_cell_angle_beta 90.00
_cell_angle_gamma 90.00
_symmetry_space_group_name_H-M 'C m m m'
_symmetry_Int_Tables_number 65
_symmetry_space_group_name_Hall '-C 2 2'
loop_
_atom_site_label
_atom_site_type_symbol
_atom_site_fract_x
_atom_site_fract_y
_atom_site_fract_z
Sr1 Sr 0.0000 0.0000 0.2455
Sr2 Sr 0.0000 0.3302 0.2406
Hg1 Hg 0.0000 0.1668 0.5000
Hg2 Hg 0.0000 0.5000 0.0000
Hg3 Hg 0.0000 0.5000 0.5000
Au1 Au 0.0000 0.1625 0.0000
```

Peak list (10 most intense, 5 to 70 degrees two-theta, sorted by position)
| 2θ/deg | I_rel | index |
| --- | --- | --- |
| 22.43 | 17 | 1 3 0 |
| 31.86 | 25 | 0 6 0 |
| 31.99 | 25 | 2 0 0 |
| 32.09 | 100 | 1 3 2 |
| 45.77 | 19 | 2 6 0 |
| 46.27 | 9 | 0 0 4 |
| 56.92 | 19 | 1 9 2 |
| 57.07 | 20 | 3 3 2 |
| 57.31 | 19 | 2 0 4 |
| 67.12 | 12 | 2 6 4 |

---

Entry 2:
For CaPb2S3, DFT lattice parameters and positions (GGA-PBE) gives the calculated X-ray diffraction stick pattern in this record (λ = 1.5418 Å (Cu Kα)).
Intensities are scaled so that the largest is 100.

Cell and atoms:
```
data_CaPb2S3
_chemical_formula_sum 'Ca2 Pb4 S6'
_cell_length_a 4.1687
_cell_length_b 5.9127
_cell_length_c 12.6029
_cell_angle_alpha 90.00
_cell_angle_beta 90.00
_cell_angle_gamma 90.00
_symmetry_space_group_name_H-M 'I m m m'
_symmetry_Int_Tables_number 71
_symmetry_space_group_name_Hall '-I 2 2'
loop_
_atom_site_label
_atom_site_type_symbol
_atom_site_fract_x
_atom_site_fract_y
_atom_site_fract_z
Ca1 Ca 0.0000 0.0000 0.0000
Pb1 Pb 0.0000 0.0000 0.3332
S1 S 0.0000 0.5000 0.0000
S2 S 0.0000 0.5000 0.3435
```

Peak list (10 most intense, 5 to 70 degrees two-theta, sorted by position)
| 2θ/deg | I_rel | index |
| --- | --- | --- |
| 14.05 | 14 | 0 0 2 |
| 16.56 | 21 | 0 1 1 |
| 26.02 | 38 | 0 1 3 |
| 26.16 | 38 | 1 1 0 |
| 30.21 | 100 | 0 2 0 |
| 43.26 | 49 | 1 2 3 |
| 51.08 | 14 | 1 1 6 |
| 51.24 | 13 | 0 3 3 |
| 51.31 | 13 | 2 1 3 |
| 53.50 | 16 | 0 2 6 |